1.
This entry pairs a crystal structure of Sm2Cu2Ge3 with its calculated powder XRD pattern. Radiation: Cu Kα (λ = 1.5418 Å). Structure: a DFT-relaxed cell (GGA-PBE, Alexandria).
Peak positions follow from Bragg's law for the DFT cell and can differ from measured ones.

Cell and atoms:
Unit cell a=9.4061 b=9.4061 c=6.7986 alpha=90.00 beta=90.00 gamma=153.39
Fractional positions:
Sm (0.0512, 0.9488, 0.7500)
Sm (0.1585, 0.8415, 0.2500)
Sm (0.8415, 0.1585, 0.7500)
Sm (0.9488, 0.0512, 0.2500)
Cu (0.3087, 0.6913, 0.0623)
Cu (0.3087, 0.6913, 0.4377)
Cu (0.6913, 0.3087, 0.5623)
Cu (0.6913, 0.3087, 0.9377)
Ge (0.2220, 0.7780, 0.7500)
Ge (0.4355, 0.5645, 0.5625)
Ge (0.4355, 0.5645, 0.9375)
Ge (0.5645, 0.4355, 0.0625)
Ge (0.5645, 0.4355, 0.4375)
Ge (0.7780, 0.2220, 0.2500)

Principal peaks in the range 2θ from 15° to 90°, by angle:
d [Å]	Rel. int.
2.784	24
2.646	88
2.586	100
2.288	18
2.165	44
2.031	33
1.619	14
1.481	23



2.
This entry pairs a crystal structure of Tb2CuGe2O8 with its calculated powder XRD pattern. Radiation: Cu Kα (λ = 1.5418 Å). Structure: a DFT-relaxed cell (GGA-PBE, Alexandria).
Peak positions follow from Bragg's law for the DFT cell and can differ from measured ones.

Cell and atoms:
Unit cell a=8.9674 b=8.9674 c=5.1735 alpha=105.80 beta=105.80 gamma=115.13
Fractional positions:
Tb (0.1202, 0.8798, 0.0000)
Tb (0.3828, 0.6240, 0.5427)
Tb (0.6240, 0.3828, 0.5427)
Tb (0.8798, 0.1202, 0.0000)
Cu (0.0929, 0.5062, 0.8455)
Cu (0.5062, 0.0929, 0.8455)
Ge (0.2764, 0.2764, 0.8536)
Ge (0.5354, 0.9585, 0.2931)
Ge (0.7646, 0.7646, 0.2354)
Ge (0.9585, 0.5354, 0.2931)
O (0.0805, 0.4210, 0.1446)
O (0.0938, 0.0938, 0.8658)
O (0.1594, 0.6773, 0.6559)
O (0.1954, 0.3828, 0.6569)
O (0.3299, 0.7963, 0.2836)
O (0.3828, 0.1954, 0.6569)
O (0.4210, 0.0805, 0.1446)
O (0.4332, 0.4332, 0.2385)
O (0.5855, 0.9278, 0.9697)
O (0.5973, 0.5973, 0.8662)
O (0.6749, 0.8589, 0.4606)
O (0.6773, 0.1594, 0.6559)
O (0.7963, 0.3299, 0.2836)
O (0.8589, 0.6749, 0.4606)
O (0.9278, 0.5855, 0.9697)
O (0.9364, 0.9364, 0.1917)

Principal peaks in the range 2θ from 15° to 90°, by angle:
d [Å]	Rel. int.
3.611	40
3.215	100
3.112	92
2.794	89
2.612	94
2.585	42
1.920	43
1.876	44



3.
This entry pairs a crystal structure of Ag5Te4Pb with its calculated powder XRD pattern. Radiation: Cu Kα (λ = 1.5418 Å). Structure: a DFT-relaxed cell (GGA-PBE, Alexandria).
Peak positions follow from Bragg's law for the DFT cell and can differ from measured ones.

Cell and atoms:
Unit cell a=9.0302 b=9.0302 c=9.0302 alpha=151.69 beta=124.30 gamma=63.65
Fractional positions:
Ag (0.0000, 0.0000, 0.0000)
Ag (0.0946, 0.3162, 0.7784)
Ag (0.4622, 0.6838, 0.7784)
Ag (0.5378, 0.3162, 0.2216)
Ag (0.9054, 0.6838, 0.2216)
Te (0.2158, 0.5000, 0.7158)
Te (0.2879, 0.7879, 0.5000)
Te (0.7121, 0.2121, 0.5000)
Te (0.7842, 0.5000, 0.2842)
Pb (0.5000, 0.0000, 0.5000)

Principal peaks in the range 2θ from 15° to 90°, by angle:
d [Å]	Rel. int.
3.913	16
3.836	35
2.992	100
2.558	22
2.209	28
2.164	87
2.109	18
1.266	15



4.
This entry pairs a crystal structure of NaAcMg17 with its calculated powder XRD pattern. Radiation: Cu Kα (λ = 1.5418 Å). Structure: a DFT-relaxed cell (GGA-PBE, Alexandria).
Peak positions follow from Bragg's law for the DFT cell and can differ from measured ones.

Cell and atoms:
Unit cell a=7.9267 b=7.9267 c=7.9267 alpha=82.52 beta=82.52 gamma=82.52
Fractional positions:
Na (0.0000, 0.0000, 0.0000)
Ac (0.6767, 0.6767, 0.6767)
Mg (0.0442, 0.3394, 0.6401)
Mg (0.0442, 0.6401, 0.3394)
Mg (0.1778, 0.6920, 0.6920)
Mg (0.2406, 0.2406, 0.2406)
Mg (0.3394, 0.0442, 0.6401)
Mg (0.3394, 0.6401, 0.0442)
Mg (0.3496, 0.3496, 0.8341)
Mg (0.3496, 0.8341, 0.3496)
Mg (0.4387, 0.4387, 0.4387)
Mg (0.4885, 0.9931, 0.9931)
Mg (0.6401, 0.0442, 0.3394)
Mg (0.6401, 0.3394, 0.0442)
Mg (0.6920, 0.1778, 0.6920)
Mg (0.6920, 0.6920, 0.1778)
Mg (0.8341, 0.3496, 0.3496)
Mg (0.9931, 0.4885, 0.9931)
Mg (0.9931, 0.9931, 0.4885)

Principal peaks in the range 2θ from 15° to 90°, by angle:
d [Å]	Rel. int.
5.869	66
4.344	37
3.664	67
3.341	38
3.128	40
3.018	48
2.614	56
2.602	100